# 1
Diffraction record for LiPr2BeIr2. The X-ray powder pattern is theoretical, not measured: it uses DFT lattice parameters and positions (PBE) and a wavelength of 1.5418 Å.
Peak positions follow from Bragg's law for the DFT cell and can differ from measured ones.

Cell and atoms:
```
data_LiPr2BeIr2
_chemical_formula_sum 'Li4 Pr8 Be4 Ir8'
_space_group_name_H-M_alt 'I b a m'
_space_group_IT_number 72
_space_group_name_Hall '-I 2 2c'
_cell_length_a 5.868
_cell_length_b 13.748
_cell_length_c 5.825
_cell_angle_alpha 90.00
_cell_angle_beta 90.00
_cell_angle_gamma 90.00
loop_
_atom_site_label
_atom_site_fract_x
_atom_site_fract_y
_atom_site_fract_z
Li1 0.000 0.000 0.250
Pr1 0.238 0.164 0.000
Be1 0.000 0.500 0.250
Ir1 0.214 0.394 0.000
```

Largest 6 diffraction maxima, most intense first, 2θ = 15–90°:
hkl 1 4 1, 2.643 Å, I = 100.0
hkl 0 0 2, 2.913 Å, I = 85.6
hkl 2 0 0, 2.934 Å, I = 76.8
hkl 0 4 0, 3.437 Å, I = 73.2
hkl 2 0 2, 2.067 Å, I = 61.6
hkl 0 4 2, 2.222 Å, I = 49.4


# 2
Diffraction record for RbSrTl2Br5. The X-ray powder pattern is theoretical, not measured: it uses DFT lattice parameters and positions (PBE) and a wavelength of 1.5418 Å.
Peak positions follow from Bragg's law for the DFT cell and can differ from measured ones.

Cell and atoms:
```
data_RbSrTl2Br5
_chemical_formula_sum 'Rb2 Sr2 Tl4 Br10'
_space_group_name_H-M_alt 'I m m m'
_space_group_IT_number 71
_space_group_name_Hall '-I 2 2'
_cell_length_a 5.815
_cell_length_b 8.188
_cell_length_c 16.229
_cell_angle_alpha 90.00
_cell_angle_beta 90.00
_cell_angle_gamma 90.00
loop_
_atom_site_label
_atom_site_fract_x
_atom_site_fract_y
_atom_site_fract_z
Rb1 0.000 0.000 0.000
Sr1 0.000 0.000 0.500
Tl1 0.000 0.500 0.212
Br1 0.000 0.255 0.365
Br2 0.000 0.500 0.000
```

Largest 6 diffraction maxima, most intense first, 2θ = 15–90°:
hkl 1 1 2, 4.094 Å, I = 100.0
hkl 0 4 0, 2.047 Å, I = 60.6
hkl 0 2 4, 2.882 Å, I = 59.4
hkl 2 0 0, 2.907 Å, I = 45.4
hkl 1 2 1, 3.279 Å, I = 39.7
hkl 1 2 3, 2.847 Å, I = 36.1


# 3
Diffraction record for CaNb2Te4Cl10O. The X-ray powder pattern is theoretical, not measured: it uses DFT lattice parameters and positions (PBE) and a wavelength of 1.5418 Å.
Peak positions follow from Bragg's law for the DFT cell and can differ from measured ones.

Cell and atoms:
```
data_CaNb2Te4Cl10O
_chemical_formula_sum 'Ca1 Nb2 Te4 Cl10 O1'
_space_group_name_H-M_alt 'P 1'
_space_group_IT_number 1
_space_group_name_Hall 'P 1'
_cell_length_a 6.967
_cell_length_b 9.224
_cell_length_c 9.649
_cell_angle_alpha 95.70
_cell_angle_beta 94.73
_cell_angle_gamma 109.65
loop_
_atom_site_label
_atom_site_fract_x
_atom_site_fract_y
_atom_site_fract_z
Ca1 0.000 0.000 0.000
Nb1 0.626 0.572 0.020
Nb2 0.669 0.314 0.300
Te1 0.084 0.141 0.673
Te2 0.208 0.754 0.631
Te3 0.383 0.039 0.803
Te4 0.925 0.861 0.497
Cl1 0.019 0.465 0.371
Cl2 0.274 0.438 0.928
Cl3 0.308 0.141 0.215
Cl4 0.537 0.740 0.183
Cl5 0.555 0.460 0.460
Cl6 0.648 0.789 0.853
Cl7 0.683 0.122 0.449
Cl8 0.731 0.445 0.833
Cl9 0.775 0.162 0.105
Cl10 0.995 0.733 0.093
O1 0.643 0.438 0.149
```

Largest 6 diffraction maxima, most intense first, 2θ = 15–90°:
hkl 1 0 -1, 5.715 Å, I = 100.0
hkl 1 0 -2, 4.093 Å, I = 46.0
hkl -1 2 2, 3.129 Å, I = 42.3
hkl 2 -2 1, 2.999 Å, I = 40.8
hkl 0 1 -2, 4.430 Å, I = 38.5
hkl 1 1 -2, 3.559 Å, I = 36.8


# 4
Diffraction record for Li3U3S8. The X-ray powder pattern is theoretical, not measured: it uses DFT lattice parameters and positions (PBE) and a wavelength of 1.5418 Å.
Peak positions follow from Bragg's law for the DFT cell and can differ from measured ones.

Cell and atoms:
```
data_Li3U3S8
_chemical_formula_sum 'Li9 U9 S24'
_space_group_name_H-M_alt 'R -3 m'
_space_group_IT_number 166
_space_group_name_Hall '-R 3 2"'
_cell_length_a 7.9916
_cell_length_b 7.9916
_cell_length_c 18.2563
_cell_angle_alpha 90.00
_cell_angle_beta 90.00
_cell_angle_gamma 120.00
loop_
_atom_site_label
_atom_site_fract_x
_atom_site_fract_y
_atom_site_fract_z
Li1 0.0000 0.0000 0.0000
Li2 0.0000 0.0000 0.3876
U1 0.0000 0.5000 0.5000
S1 0.0000 0.0000 0.2457
S2 0.0223 0.5111 0.7554
```

Largest 6 diffraction maxima, most intense first, 2θ = 15–90°:
hkl 0 2 4, 2.757 Å, I = 100.0
hkl 0 2 1, 3.400 Å, I = 88.3
hkl 2 0 5, 2.512 Å, I = 43.1
hkl 2 2 0, 1.998 Å, I = 40.0
hkl 2 2 3, 1.898 Å, I = 37.8
hkl 2 0 2, 3.234 Å, I = 37.7


# 5
Diffraction record for NbTcSn2. The X-ray powder pattern is theoretical, not measured: it uses DFT lattice parameters and positions (PBE) and a wavelength of 1.5418 Å.
Peak positions follow from Bragg's law for the DFT cell and can differ from measured ones.

Cell and atoms:
```
data_NbTcSn2
_chemical_formula_sum 'Nb4 Tc4 Sn8'
_space_group_name_H-M_alt 'F m -3 m'
_space_group_IT_number 225
_space_group_name_Hall '-F 4 2 3'
_cell_length_a 6.697
_cell_length_b 6.697
_cell_length_c 6.697
_cell_angle_alpha 90.00
_cell_angle_beta 90.00
_cell_angle_gamma 90.00
loop_
_atom_site_label
_atom_site_fract_x
_atom_site_fract_y
_atom_site_fract_z
Nb1 0.000 0.000 0.000
Tc1 0.000 0.000 0.500
Sn1 0.250 0.250 0.250
```

Largest 6 diffraction maxima, most intense first, 2θ = 15–90°:
hkl 2 2 0, 2.368 Å, I = 100.0
hkl 4 2 2, 1.367 Å, I = 35.6
hkl 4 0 0, 1.674 Å, I = 17.3
hkl 4 4 0, 1.184 Å, I = 11.4
hkl 2 0 0, 3.348 Å, I = 1.2
hkl 4 2 0, 1.497 Å, I = 0.8


# 6
Diffraction record for Ac2GaPd6Pb. The X-ray powder pattern is theoretical, not measured: it uses DFT lattice parameters and positions (PBE) and a wavelength of 1.5418 Å.
Peak positions follow from Bragg's law for the DFT cell and can differ from measured ones.

Cell and atoms:
```
data_Ac2GaPd6Pb
_chemical_formula_sum 'Ac2 Ga1 Pd6 Pb1'
_space_group_name_H-M_alt 'P -1'
_space_group_IT_number 2
_space_group_name_Hall '-P 1'
_cell_length_a 5.673
_cell_length_b 6.740
_cell_length_c 7.112
_cell_angle_alpha 79.40
_cell_angle_beta 66.54
_cell_angle_gamma 65.12
loop_
_atom_site_label
_atom_site_fract_x
_atom_site_fract_y
_atom_site_fract_z
Ac1 0.243 0.283 0.230
Ga1 0.500 0.500 0.500
Pd1 0.252 0.265 0.741
Pd2 0.254 0.907 0.585
Pd3 0.256 0.734 0.259
Pb1 0.000 0.000 0.000
```

Largest 6 diffraction maxima, most intense first, 2θ = 15–90°:
hkl 2 0 2, 2.387 Å, I = 100.0
hkl 0 2 -2, 2.207 Å, I = 86.8
hkl 1 1 2, 3.335 Å, I = 85.9
hkl 0 2 2, 2.253 Å, I = 73.9
hkl 1 2 1, 3.221 Å, I = 71.0
hkl 1 1 -2, 2.319 Å, I = 70.1


# 7
Diffraction record for RbH. The X-ray powder pattern is theoretical, not measured: it uses DFT lattice parameters and positions (PBE) and a wavelength of 1.5418 Å.
Peak positions follow from Bragg's law for the DFT cell and can differ from measured ones.

Cell and atoms:
```
data_RbH
_chemical_formula_sum 'Rb2 H2'
_space_group_name_H-M_alt 'I -4 m 2'
_space_group_IT_number 119
_space_group_name_Hall 'I -4 -2'
_cell_length_a 4.680
_cell_length_b 4.680
_cell_length_c 6.317
_cell_angle_alpha 90.00
_cell_angle_beta 90.00
_cell_angle_gamma 90.00
loop_
_atom_site_label
_atom_site_fract_x
_atom_site_fract_y
_atom_site_fract_z
Rb1 0.000 0.000 0.000
H1 0.000 0.500 0.750
```

Largest 6 diffraction maxima, most intense first, 2θ = 15–90°:
hkl 1 0 1, 3.760 Å, I = 100.0
hkl 1 1 0, 3.309 Å, I = 34.6
hkl 2 1 1, 1.987 Å, I = 33.2
hkl 1 1 2, 2.285 Å, I = 26.3
hkl 0 0 2, 3.159 Å, I = 15.3
hkl 1 0 3, 1.920 Å, I = 14.9


# 8
Diffraction record for ZrMn2BeC. The X-ray powder pattern is theoretical, not measured: it uses DFT lattice parameters and positions (PBE) and a wavelength of 1.5418 Å.
Peak positions follow from Bragg's law for the DFT cell and can differ from measured ones.

Cell and atoms:
```
data_ZrMn2BeC
_chemical_formula_sum 'Zr4 Mn8 Be4 C4'
_space_group_name_H-M_alt 'C m c m'
_space_group_IT_number 63
_space_group_name_Hall '-C 2c 2'
_cell_length_a 3.454
_cell_length_b 9.858
_cell_length_c 6.740
_cell_angle_alpha 90.00
_cell_angle_beta 90.00
_cell_angle_gamma 90.00
loop_
_atom_site_label
_atom_site_fract_x
_atom_site_fract_y
_atom_site_fract_z
Zr1 0.000 0.037 0.250
Mn1 0.000 0.317 0.060
Be1 0.000 0.243 0.750
C1 0.000 0.500 0.000
```

Largest 6 diffraction maxima, most intense first, 2θ = 15–90°:
hkl 1 1 2, 2.343 Å, I = 100.0
hkl 1 3 0, 2.381 Å, I = 81.0
hkl 0 2 2, 2.782 Å, I = 65.8
hkl 0 4 1, 2.315 Å, I = 36.3
hkl 1 1 1, 2.934 Å, I = 29.6
hkl 2 0 0, 1.727 Å, I = 24.8